The following is a theoretical powder XRD pattern of GdYCl3. It was derived from a crystal structure in OQMD, relaxed with GGA-PBE, using Cu Kα (weighted mean of Kα1 and Kα2).
Peak positions follow from Bragg's law for the DFT cell and can differ from measured ones.

Main lines, in order of falling intensity (5° ≤ 2θ ≤ 70°):
9.82°, I = 100; 27.07°, I = 90; 33.15°, I = 67; 37.44°, I = 43; 12.00°, I = 41; 29.01°, I = 38; 36.05°, I = 34; 35.77°, I = 32; 39.88°, I = 31; 45.74°, I = 26

Cell and atoms:
```
GdYCl3
1.0
7.7237 -1.9386 0.0000
7.7237 1.9386 0.0000
-4.9198 0.0000 9.0076
Gd Y Cl
2 2 6
Cartesian
-0.8529 0.0000 4.0475
11.3806 0.0000 4.9601
4.5639 0.0000 1.8726
5.9638 0.0000 7.1350
2.4285 0.0000 0.0724
2.3330 0.0000 3.4377
3.2664 0.0000 6.8847
7.2612 0.0000 2.1229
8.1946 0.0000 5.5699
8.0991 0.0000 8.9352
```


The following is a theoretical powder XRD pattern of Gd5Ir2Br5. It was derived from a crystal structure in OQMD, relaxed with GGA-PBE, using Cu Kα (weighted mean of Kα1 and Kα2).
Peak positions follow from Bragg's law for the DFT cell and can differ from measured ones.

Main lines, in order of falling intensity (5° ≤ 2θ ≤ 70°):
9.69°, I = 100; 6.71°, I = 65; 30.96°, I = 26; 37.15°, I = 26; 43.62°, I = 26; 30.39°, I = 26; 31.88°, I = 26; 38.29°, I = 21; 30.85°, I = 16; 30.60°, I = 15

Cell and atoms:
```
Gd5Ir2Br5
1.0
12.6675 0.0000 0.0000
0.0000 4.1507 0.0000
0.0000 0.0000 26.3402
Gd Ir Br
20 8 20
Cartesian
0.0740 1.0377 1.4508
1.3689 3.1131 11.2175
1.4848 1.0377 8.0727
1.9103 1.0377 22.3537
2.9963 3.1131 0.3679
3.3374 1.0377 13.5380
4.4234 3.1131 9.1836
4.8489 3.1131 21.2428
4.9649 1.0377 24.3876
6.2598 3.1131 14.6209
6.4077 1.0377 11.7193
7.7026 3.1131 1.9526
7.8186 1.0377 5.0974
8.2441 1.0377 17.1566
9.3301 3.1131 12.8022
9.6712 1.0377 25.9723
10.7572 3.1131 3.9865
11.1827 3.1131 18.2675
11.2986 1.0377 15.1227
12.5935 3.1131 24.8894
1.8359 1.0377 25.3648
3.0288 1.0377 10.4563
3.3050 3.1131 23.6264
4.4978 3.1131 12.1947
8.1697 1.0377 14.1455
9.3625 1.0377 2.7138
9.6387 3.1131 15.8839
10.8316 3.1131 0.9754
0.2748 3.1131 20.8043
0.4354 1.0377 17.4939
1.0547 3.1131 14.3431
1.7476 3.1131 3.0178
2.8709 3.1131 6.5925
3.4628 1.0377 19.7626
4.5861 1.0377 16.1879
5.2791 1.0377 1.1730
5.8984 3.1131 4.3238
6.0590 1.0377 7.6342
6.6085 3.1131 18.7060
6.7691 1.0377 22.0164
7.3884 3.1131 25.1672
8.0814 3.1131 10.1523
9.2046 3.1131 6.5776
9.7966 1.0377 19.7477
10.9198 1.0377 23.3223
11.6128 1.0377 11.9971
12.2321 3.1131 8.8463
12.3927 1.0377 5.5359
```